Entry 1:
Sm3N2: simulated powder X-ray diffraction pattern (Cu Ka), based on a crystal structure in Alexandria, relaxed with PBE.
Neutral-atom scattering factors, no anomalous dispersion.

Structure:
a b c (Å): 6.2720 10.8148 6.3250
angles (deg): 90.00 109.67 90.00
Space group C2/m (No. 12)
Inequivalent atoms, fractional coordinates:
Sm (0.2308, 0.0000, 0.2430) x4
Sm (0.2469, 0.1587, 0.7682) x8
N (0.0000, 0.0000, 0.5000) x2
N (0.0000, 0.1625, 0.0000) x4
N (0.0000, 0.5000, 0.0000) x2

Peak list (10 most intense, 10° ≤ 2θ ≤ 80°, low angle first)
30.01°, I 34, hkl 0 0 2
30.27°, I 100, hkl 2 0 0
34.85°, I 29, hkl 2 0 -2
35.09°, I 58, hkl 1 3 1
50.12°, I 19, hkl 1 3 -3
50.30°, I 10, hkl 2 0 2
50.46°, I 20, hkl 3 3 -1
59.68°, I 18, hkl 1 3 3
59.99°, I 19, hkl 3 3 1
62.95°, I 14, hkl 4 0 0

=====

Entry 2:
Sm7Sn3N2: simulated powder X-ray diffraction pattern (Cu Ka), based on a crystal structure in Alexandria, relaxed with PBE.
Neutral-atom scattering factors, no anomalous dispersion.

Structure:
a b c (Å): 4.8880 4.8880 26.0352
angles (deg): 90.00 90.00 90.00
Space group I4/mmm (No. 139)
Inequivalent atoms, fractional coordinates:
Sm (0.0000, 0.0000, 0.0000) x2
Sm (0.0000, 0.0000, 0.1927) x4
Sm (0.0000, 0.5000, 0.0933) x8
Sn (0.0000, 0.0000, 0.3188) x4
Sn (0.0000, 0.0000, 0.5000) x2
N (0.0000, 0.0000, 0.0985) x4

Peak list (10 most intense, 10° ≤ 2θ ≤ 80°, low angle first)
26.69°, I 14, hkl 1 1 2
29.26°, I 44, hkl 1 1 4
33.14°, I 100, hkl 1 1 6
34.45°, I 24, hkl 0 0 10
36.77°, I 56, hkl 2 0 0
51.27°, I 30, hkl 2 0 10
52.99°, I 20, hkl 2 2 0
63.15°, I 19, hkl 1 1 16
63.94°, I 31, hkl 3 1 6
64.74°, I 15, hkl 2 2 10

=====

Entry 3:
Tb4Sm2Sn3N2: simulated powder X-ray diffraction pattern (Cu Ka), based on a crystal structure in Alexandria, relaxed with PBE.
Neutral-atom scattering factors, no anomalous dispersion.

Structure:
a b c (Å): 4.7376 4.7376 25.3360
angles (deg): 90.00 90.00 90.00
Space group I4/mmm (No. 139)
Inequivalent atoms, fractional coordinates:
Tb (0.0000, 0.5000, 0.0835) x8
Sm (0.0000, 0.0000, 0.1920) x4
Sn (0.0000, 0.0000, 0.3236) x4
Sn (0.0000, 0.0000, 0.5000) x2
N (0.0000, 0.0000, 0.1002) x4

Peak list (10 most intense, 10° ≤ 2θ ≤ 80°, low angle first)
27.54°, I 42, hkl 1 1 2
28.18°, I 15, hkl 0 0 8
30.18°, I 16, hkl 1 1 4
34.16°, I 100, hkl 1 1 6
37.99°, I 51, hkl 2 0 0
47.96°, I 14, hkl 2 0 8
52.91°, I 13, hkl 2 0 10
54.81°, I 18, hkl 2 2 0
58.57°, I 12, hkl 2 0 12
66.19°, I 30, hkl 3 1 6

=====

- Number 3 is which compound?
  Tb4Sm2Sn3N2